Entry 1:
Simulated PXRD pattern of NpTl3Bi3S8 for Cu Kα, from the GGA-PBE geometry in Alexandria.

Crystal structure
Lattice parameters (Å, degrees): 8.2043 8.2043 22.6078 90.00 90.00 120.00
Space group R-3m (No. 166, hexagonal axes)
One atom of each set of equivalent atoms:
Np1 0.0000 0.0000 0.0000 [3 per cell]
Tl1 0.0000 0.5000 0.5000 [9 per cell]
Bi1 0.0000 0.5000 0.0000 [9 per cell]
S1 0.0000 0.0000 0.2633 [6 per cell]
S2 0.0156 0.5078 0.7331 [18 per cell]

Main lines, most intense first (2θ from 10° to 90°):
2θ (°)	I_rel
29.7	100
26.3	65
40.8	40
44.2	35
23.6	30
50.7	26
54.1	19
47.7	17
67.5	17
72.3	16
13.1	14
78.9	12

Entry 2:
Simulated PXRD pattern of Np2BiSb4 for Cu Kα, from the GGA-PBE geometry in Alexandria.

Crystal structure
Lattice parameters (Å, degrees): 4.320 4.320 11.092 90.00 90.00 90.00
Space group P-4m2 (No. 115)
One atom of each set of equivalent atoms:
Np1 0.000 0.500 0.219 [2 per cell]
Bi1 0.000 0.000 0.500 [1 per cell]
Sb1 0.000 0.000 0.000 [1 per cell]
Sb2 0.000 0.500 0.711 [2 per cell]
Sb3 0.500 0.500 0.000 [1 per cell]

Main lines, most intense first (2θ from 10° to 90°):
2θ (°)	I_rel
33.5	100
41.8	31
71.1	23
22.1	21
26.1	20
32.3	19
38.6	18
53.8	18
58.2	11
53.9	11
60.6	10
70.5	10

Entry 3:
Simulated PXRD pattern of NpBiSb for Cu Kα, from the GGA-PBE geometry in Alexandria.

Crystal structure
Lattice parameters (Å, degrees): 5.248 5.258 8.052 108.97 90.05 119.89
Space group P-1 (No. 2)
One atom of each set of equivalent atoms:
Np1 0.058 0.116 0.174 [2 per cell]
Bi1 0.206 0.412 0.618 [2 per cell]
Sb1 0.355 0.711 0.066 [2 per cell]

Main lines, most intense first (2θ from 10° to 90°):
2θ (°)	I_rel
34.1	100
34.3	81
19.9	46
61.1	29
49.2	20
37.7	20
61.2	16
28.0	15
61.0	12
49.0	11
82.1	9
51.8	8

Entry 4:
Simulated PXRD pattern of Np3Tl3BiSe8 for Cu Kα, from the GGA-PBE geometry in Alexandria.

Crystal structure
Lattice parameters (Å, degrees): 8.4163 8.4163 23.2978 90.00 90.00 120.00
Space group R-3m (No. 166, hexagonal axes)
One atom of each set of equivalent atoms:
Np1 0.0000 0.5000 0.0000 [9 per cell]
Tl1 0.0000 0.5000 0.5000 [9 per cell]
Bi1 0.0000 0.0000 0.0000 [3 per cell]
Se1 0.0000 0.0000 0.2657 [6 per cell]
Se2 0.0116 0.5058 0.2649 [18 per cell]

Main lines, most intense first (2θ from 10° to 90°):
2θ (°)	I_rel
28.9	100
39.6	38
43.0	36
25.6	23
52.6	19
70.2	16
11.4	15
65.4	15
22.9	12
59.9	11
76.5	11
49.3	10

Entry 5:
Simulated PXRD pattern of Np2SnBi4 for Cu Kα, from the GGA-PBE geometry in Alexandria.

Crystal structure
Lattice parameters (Å, degrees): 8.798 10.212 4.732 90.00 90.00 90.00
Space group Cmmm (No. 65)
One atom of each set of equivalent atoms:
Np1 0.000 0.214 0.000 [4 per cell]
Sn1 0.000 0.000 0.500 [2 per cell]
Bi1 0.206 0.500 0.000 [4 per cell]
Bi2 0.250 0.250 0.500 [4 per cell]

Main lines, most intense first (2θ from 10° to 90°):
2θ (°)	I_rel
32.9	100
38.0	20
35.2	19
34.0	15
65.5	14
52.8	12
41.0	11
61.6	10
31.7	9
57.2	9
68.9	7
27.7	7

Entry 6:
Simulated PXRD pattern of Tb3NpBi4 for Cu Kα, from the GGA-PBE geometry in Alexandria.

Crystal structure
Lattice parameters (Å, degrees): 9.020 12.715 4.497 90.00 90.00 90.00
Space group Cmmm (No. 65)
One atom of each set of equivalent atoms:
Tb1 0.000 0.000 0.000 [2 per cell]
Tb2 0.250 0.250 0.500 [4 per cell]
Np1 0.000 0.500 0.000 [2 per cell]
Bi1 0.000 0.250 0.000 [4 per cell]
Bi2 0.249 0.000 0.500 [4 per cell]

Main lines, most intense first (2θ from 10° to 90°):
2θ (°)	I_rel
28.0	100
40.1	65
65.6	31
72.8	19
49.6	14
49.7	14
40.1	13
72.7	9
57.9	9
86.5	8
65.5	6
58.0	5

Entry 7:
Simulated PXRD pattern of Tm3NpBi4 for Cu Kα, from the GGA-PBE geometry in Alexandria.

Crystal structure
Lattice parameters (Å, degrees): 8.938 12.592 4.450 90.00 90.00 90.00
Space group Cmmm (No. 65)
One atom of each set of equivalent atoms:
Tm1 0.000 0.000 0.000 [2 per cell]
Tm2 0.250 0.250 0.500 [4 per cell]
Np1 0.000 0.500 0.000 [2 per cell]
Bi1 0.000 0.248 0.000 [4 per cell]
Bi2 0.245 0.000 0.500 [4 per cell]

Main lines, most intense first (2θ from 10° to 90°):
2θ (°)	I_rel
28.3	100
40.5	65
66.4	31
50.1	14
50.2	14
73.7	14
40.4	13
73.5	9
58.5	9
66.2	6
87.6	6
73.6	5

Entry 8:
Simulated PXRD pattern of Y4NpBi5 for Cu Kα, from the GGA-PBE geometry in Alexandria.

Crystal structure
Lattice parameters (Å, degrees): 10.045 10.045 6.356 90.00 90.00 90.00
Space group I4/m (No. 87)
One atom of each set of equivalent atoms:
Y1 0.100 0.699 0.000 [8 per cell]
Np1 0.000 0.000 0.500 [2 per cell]
Bi1 0.000 0.000 0.000 [2 per cell]
Bi2 0.100 0.700 0.500 [8 per cell]

Main lines, most intense first (2θ from 10° to 90°):
2θ (°)	I_rel
28.1	100
40.1	78
65.7	37
49.7	28
72.9	28
24.3	14
58.1	13
86.7	9
47.5	8
63.9	3
16.5	3
78.2	3

Entry 9:
Simulated PXRD pattern of NpZnBi2 for Cu Kα, from the GGA-PBE geometry in Alexandria.

Crystal structure
Lattice parameters (Å, degrees): 4.859 4.859 4.384 90.00 90.00 90.00
Space group P4/mmm (No. 123)
One atom of each set of equivalent atoms:
Np1 0.000 0.000 0.000 [1 per cell]
Zn1 0.500 0.500 0.000 [1 per cell]
Bi1 0.000 0.500 0.500 [2 per cell]

Main lines, most intense first (2θ from 10° to 90°):
2θ (°)	I_rel
33.1	100
37.0	37
64.2	31
56.6	22
41.2	14
53.3	13
69.5	12
70.0	12
18.3	10
27.4	8
88.2	7
78.8	4

Entry 10:
Simulated PXRD pattern of ZrNpBi for Cu Kα, from the GGA-PBE geometry in Alexandria.

Crystal structure
Lattice parameters (Å, degrees): 3.2874 3.2874 17.4363 90.00 90.00 120.00
Space group P-3m1 (No. 164)
One atom of each set of equivalent atoms:
Zr1 0.3333 0.6667 0.0733 [2 per cell]
Np1 0.3333 0.6667 0.7735 [2 per cell]
Bi1 0.0000 0.0000 0.3917 [2 per cell]

Main lines, most intense first (2θ from 10° to 90°):
2θ (°)	I_rel
31.8	100
37.7	95
35.1	89
10.1	43
62.5	41
55.9	39
25.5	33
30.8	31
57.5	26
65.2	22
40.9	22
33.1	19

Entry 11:
Simulated PXRD pattern of Bi2O3 for Cu Kα, from the GGA-PBE geometry in Alexandria.

Crystal structure
Lattice parameters (Å, degrees): 9.628 5.858 6.222 90.00 90.00 90.00
Space group Pbcn (No. 60)
One atom of each set of equivalent atoms:
Bi1 0.102 0.245 0.033 [8 per cell]
O1 0.000 0.448 0.750 [4 per cell]
O2 0.111 0.122 0.402 [8 per cell]

Main lines, most intense first (2θ from 10° to 90°):
2θ (°)	I_rel
27.9	100
28.7	24
30.5	23
52.7	22
42.4	19
50.4	16
37.4	11
43.2	11
49.0	11
47.8	10
18.4	10
57.8	10

Entry 12:
Simulated PXRD pattern of Bi3O for Cu Kα, from the GGA-PBE geometry in Alexandria.

Crystal structure
Lattice parameters (Å, degrees): 4.787 4.787 5.128 90.00 90.00 90.00
Space group P-4m2 (No. 115)
One atom of each set of equivalent atoms:
Bi1 0.000 0.000 0.000 [1 per cell]
Bi2 0.000 0.500 0.586 [2 per cell]
O1 0.500 0.500 0.500 [1 per cell]

Main lines, most intense first (2θ from 10° to 90°):
2θ (°)	I_rel
31.7	100
25.5	55
37.6	44
39.9	31
64.1	28
56.0	24
45.9	23
18.5	21
57.2	16
70.5	16
54.2	15
52.3	15